Theoretical X-ray powder pattern
Compound: K3NiSe2O8
Radiation: Cu Kα (λ = 1.5418 Å)
Structure: a GGA+U-relaxed structure
Lines closer than 0.1° are merged.

Top 10 peaks for 2θ from 15° to 90°, low angle first:
2θ/deg	I/Imax
21.24	53
23.49	10
29.55	69
30.87	100
39.97	13
43.26	42
54.09	23
54.90	18
58.20	20
64.33	18

a = 5.7928 Å, b = 5.7928 Å, c = 7.5754 Å
α = 90.00°, β = 90.00°, γ = 120.00°
Sites, in units of the cell vectors:
K  0.0000  0.0000  0.0000
K  0.3333  0.6667  0.6810
K  0.6667  0.3333  0.3190
Ni  0.0000  0.0000  0.5000
Se  0.3333  0.6667  0.2480
Se  0.6667  0.3333  0.7520
O  0.1702  0.3404  0.3265
O  0.1702  0.8298  0.3265
O  0.3333  0.6667  0.0268
O  0.3404  0.1702  0.6735
O  0.6596  0.8298  0.3265
O  0.6667  0.3333  0.9732
O  0.8298  0.1702  0.6735
O  0.8298  0.6596  0.6735